Entry 1:
Theoretical XRD peak list of Nd7PbSe5 for Cu Kα X-rays, from DFT lattice parameters and positions (GGA-PBE).
Lines closer than 0.1° are merged.

Largest 10 diffraction maxima, by angle, 10 to 90 degrees two-theta:
| 2θ/deg | I_rel |
| --- | --- |
| 28.00 | 74 |
| 29.30 | 100 |
| 30.38 | 67 |
| 31.27 | 19 |
| 39.00 | 32 |
| 42.04 | 36 |
| 42.15 | 20 |
| 42.87 | 29 |
| 43.22 | 24 |
| 51.27 | 28 |

Cell lengths 7.233, 7.233, 25.141 Å; angles 90.00, 90.00, 145.43 degrees
Fractional positions:
Nd: 0.027 0.973 0.750
Nd: 0.137 0.863 0.037
Nd: 0.137 0.863 0.463
Nd: 0.319 0.681 0.676
Nd: 0.319 0.681 0.824
Nd: 0.406 0.594 0.113
Nd: 0.406 0.594 0.387
Nd: 0.594 0.406 0.613
Nd: 0.594 0.406 0.887
Nd: 0.681 0.319 0.176
Nd: 0.681 0.319 0.324
Nd: 0.863 0.137 0.537
Nd: 0.863 0.137 0.963
Nd: 0.973 0.027 0.250
Pb: 0.303 0.697 0.250
Pb: 0.697 0.303 0.750
Se: 0.046 0.954 0.142
Se: 0.046 0.954 0.358
Se: 0.227 0.773 0.571
Se: 0.227 0.773 0.929
Se: 0.500 0.500 0.000
Se: 0.500 0.500 0.500
Se: 0.773 0.227 0.071
Se: 0.773 0.227 0.429
Se: 0.954 0.046 0.642
Se: 0.954 0.046 0.858

Entry 2:
Theoretical XRD peak list of NdPb5Se7 for Cu Kα X-rays, from DFT lattice parameters and positions (GGA-PBE).
Lines closer than 0.1° are merged.

Largest 10 diffraction maxima, by angle, 10 to 90 degrees two-theta:
| 2θ/deg | I_rel |
| --- | --- |
| 24.68 | 81 |
| 27.91 | 36 |
| 28.73 | 100 |
| 29.85 | 87 |
| 31.25 | 33 |
| 39.31 | 46 |
| 40.11 | 35 |
| 41.62 | 39 |
| 42.37 | 43 |
| 42.50 | 37 |

Cell lengths 7.610, 7.610, 24.891 Å; angles 90.00, 90.00, 147.44 degrees
Fractional positions:
Nd: 0.203 0.797 0.500
Nd: 0.797 0.203 0.000
Pb: 0.013 0.987 0.739
Pb: 0.259 0.741 0.163
Pb: 0.288 0.712 0.816
Pb: 0.444 0.556 0.390
Pb: 0.473 0.527 0.587
Pb: 0.527 0.473 0.087
Pb: 0.556 0.444 0.890
Pb: 0.712 0.288 0.316
Pb: 0.741 0.259 0.663
Pb: 0.987 0.013 0.239
Se: 0.072 0.928 0.346
Se: 0.115 0.885 0.615
Se: 0.177 0.823 0.055
Se: 0.205 0.795 0.926
Se: 0.349 0.651 0.277
Se: 0.376 0.624 0.702
Se: 0.434 0.566 0.985
Se: 0.566 0.434 0.485
Se: 0.624 0.376 0.202
Se: 0.651 0.349 0.777
Se: 0.795 0.205 0.426
Se: 0.823 0.177 0.555
Se: 0.885 0.115 0.115
Se: 0.928 0.072 0.846

Entry 3:
Theoretical XRD peak list of Nd6PbSe4 for Cu Kα X-rays, from DFT lattice parameters and positions (GGA-PBE).
Lines closer than 0.1° are merged.

Largest 10 diffraction maxima, by angle, 10 to 90 degrees two-theta:
| 2θ/deg | I_rel |
| --- | --- |
| 27.26 | 22 |
| 28.11 | 68 |
| 28.61 | 35 |
| 29.52 | 100 |
| 30.99 | 35 |
| 40.09 | 31 |
| 41.75 | 33 |
| 42.31 | 25 |
| 42.74 | 20 |
| 51.09 | 33 |

Cell lengths 7.239, 7.239, 21.448 Å; angles 90.00, 90.00, 145.22 degrees
Fractional positions:
Nd: 0.000 0.000 0.000
Nd: 0.000 0.000 0.500
Nd: 0.167 0.833 0.750
Nd: 0.271 0.729 0.085
Nd: 0.271 0.729 0.415
Nd: 0.457 0.543 0.663
Nd: 0.457 0.543 0.837
Nd: 0.543 0.457 0.163
Nd: 0.543 0.457 0.337
Nd: 0.729 0.271 0.585
Nd: 0.729 0.271 0.915
Nd: 0.833 0.167 0.250
Pb: 0.162 0.838 0.250
Pb: 0.838 0.162 0.750
Se: 0.093 0.907 0.624
Se: 0.093 0.907 0.876
Se: 0.363 0.637 0.540
Se: 0.363 0.637 0.960
Se: 0.637 0.363 0.040
Se: 0.637 0.363 0.460
Se: 0.907 0.093 0.124
Se: 0.907 0.093 0.376

Entry 4:
Theoretical XRD peak list of NdYPbSe for Cu Kα X-rays, from DFT lattice parameters and positions (GGA-PBE).
Lines closer than 0.1° are merged.

Largest 10 diffraction maxima, by angle, 10 to 90 degrees two-theta:
| 2θ/deg | I_rel |
| --- | --- |
| 20.45 | 26 |
| 28.73 | 52 |
| 29.08 | 100 |
| 41.34 | 77 |
| 41.59 | 38 |
| 51.34 | 41 |
| 67.58 | 18 |
| 68.12 | 18 |
| 68.30 | 18 |
| 75.72 | 26 |

Cell lengths 4.343, 4.343, 6.214 Å; angles 90.00, 90.00, 90.00 degrees
Fractional positions:
Nd: 0.000 0.000 0.000
Y: 0.500 0.500 0.500
Pb: 0.000 0.000 0.500
Se: 0.500 0.500 0.000

Entry 5:
Theoretical XRD peak list of NdSiPb for Cu Kα X-rays, from DFT lattice parameters and positions (GGA-PBE).
Lines closer than 0.1° are merged.

Largest 10 diffraction maxima, by angle, 10 to 90 degrees two-theta:
| 2θ/deg | I_rel |
| --- | --- |
| 25.11 | 15 |
| 29.98 | 55 |
| 31.34 | 100 |
| 31.73 | 76 |
| 37.11 | 28 |
| 41.79 | 21 |
| 52.28 | 24 |
| 54.60 | 23 |
| 57.11 | 16 |
| 57.65 | 28 |

Cell lengths 9.550, 9.550, 3.882 Å; angles 90.00, 90.00, 153.84 degrees
Fractional positions:
Nd: 0.089 0.911 0.750
Nd: 0.911 0.089 0.250
Si: 0.462 0.538 0.750
Si: 0.538 0.462 0.250
Pb: 0.297 0.703 0.750
Pb: 0.703 0.297 0.250

Entry 6:
Theoretical XRD peak list of NdSm5Pb5 for Cu Kα X-rays, from DFT lattice parameters and positions (GGA-PBE).
Lines closer than 0.1° are merged.

Largest 10 diffraction maxima, by angle, 10 to 90 degrees two-theta:
| 2θ/deg | I_rel |
| --- | --- |
| 28.02 | 100 |
| 28.12 | 49 |
| 38.99 | 21 |
| 40.07 | 78 |
| 41.25 | 18 |
| 48.68 | 22 |
| 50.59 | 20 |
| 57.91 | 13 |
| 65.55 | 28 |
| 65.74 | 9 |

Cell lengths 7.931, 7.931, 8.755 Å; angles 105.87, 105.87, 47.39 degrees
Fractional positions:
Nd: 0.000 0.000 0.000
Sm: 0.000 0.000 0.500
Sm: 0.332 0.332 0.166
Sm: 0.335 0.335 0.665
Sm: 0.665 0.665 0.335
Sm: 0.668 0.668 0.834
Pb: 0.166 0.166 0.337
Pb: 0.166 0.166 0.827
Pb: 0.500 0.500 0.000
Pb: 0.834 0.834 0.173
Pb: 0.834 0.834 0.663

Entry 7:
Theoretical XRD peak list of NdSmPb2 for Cu Kα X-rays, from DFT lattice parameters and positions (GGA-PBE).
Lines closer than 0.1° are merged.

Largest 10 diffraction maxima, by angle, 10 to 90 degrees two-theta:
| 2θ/deg | I_rel |
| --- | --- |
| 28.55 | 100 |
| 29.94 | 39 |
| 35.74 | 91 |
| 38.80 | 27 |
| 39.84 | 25 |
| 49.77 | 20 |
| 50.63 | 19 |
| 56.83 | 18 |
| 65.56 | 27 |
| 68.27 | 14 |

Cell lengths 4.641, 4.525, 6.401 Å; angles 90.00, 111.18, 90.00 degrees
Fractional positions:
Nd: 0.000 0.000 0.000
Sm: 0.738 0.500 0.473
Pb: 0.273 0.000 0.542
Pb: 0.465 0.500 0.930

Entry 8:
Theoretical XRD peak list of Nd5SmPb3 for Cu Kα X-rays, from DFT lattice parameters and positions (GGA-PBE).
Lines closer than 0.1° are merged.

Largest 10 diffraction maxima, by angle, 10 to 90 degrees two-theta:
| 2θ/deg | I_rel |
| --- | --- |
| 31.74 | 100 |
| 32.02 | 82 |
| 41.57 | 16 |
| 45.71 | 31 |
| 56.54 | 20 |
| 56.72 | 33 |
| 63.81 | 27 |
| 66.31 | 12 |
| 75.55 | 14 |
| 81.82 | 14 |

Cell lengths 9.765, 9.765, 6.818 Å; angles 90.00, 90.00, 120.00 degrees
Fractional positions:
Nd: 0.000 0.333 0.250
Nd: 0.000 0.667 0.750
Nd: 0.333 0.000 0.250
Nd: 0.333 0.333 0.750
Nd: 0.333 0.667 0.000
Nd: 0.333 0.667 0.500
Nd: 0.667 0.000 0.750
Nd: 0.667 0.333 0.000
Nd: 0.667 0.333 0.500
Nd: 0.667 0.667 0.250
Sm: 0.000 0.000 0.000
Sm: 0.000 0.000 0.500
Pb: 0.000 0.333 0.750
Pb: 0.000 0.667 0.250
Pb: 0.333 0.000 0.750
Pb: 0.333 0.333 0.250
Pb: 0.667 0.000 0.250
Pb: 0.667 0.667 0.750

Entry 9:
Theoretical XRD peak list of NdSm4Pb for Cu Kα X-rays, from DFT lattice parameters and positions (GGA-PBE).
Lines closer than 0.1° are merged.

Largest 10 diffraction maxima, by angle, 10 to 90 degrees two-theta:
| 2θ/deg | I_rel |
| --- | --- |
| 15.20 | 77 |
| 27.92 | 27 |
| 29.99 | 87 |
| 30.68 | 100 |
| 34.41 | 19 |
| 35.55 | 49 |
| 41.96 | 25 |
| 43.44 | 59 |
| 43.94 | 36 |
| 62.35 | 34 |

Cell lengths 8.942, 8.942, 8.942 Å; angles 98.65, 98.65, 134.37 degrees
Fractional positions:
Nd: 0.000 0.000 0.000
Nd: 0.750 0.250 0.500
Sm: 0.296 0.557 0.739
Sm: 0.307 0.068 0.761
Sm: 0.307 0.546 0.239
Sm: 0.318 0.049 0.269
Sm: 0.781 0.049 0.731
Sm: 0.799 0.031 0.231
Sm: 0.799 0.568 0.769
Sm: 0.818 0.557 0.261
Pb: 0.258 0.758 0.500
Pb: 0.508 0.508 0.000

Entry 10:
Theoretical XRD peak list of Nd2Sn9Pb for Cu Kα X-rays, from DFT lattice parameters and positions (GGA-PBE).
Lines closer than 0.1° are merged.

Largest 10 diffraction maxima, by angle, 10 to 90 degrees two-theta:
| 2θ/deg | I_rel |
| --- | --- |
| 32.25 | 100 |
| 35.48 | 19 |
| 38.35 | 32 |
| 53.23 | 24 |
| 55.35 | 11 |
| 61.68 | 15 |
| 65.53 | 27 |
| 67.49 | 12 |
| 82.12 | 4 |
| 87.56 | 18 |

Cell lengths 4.695, 4.695, 15.181 Å; angles 90.00, 90.00, 90.00 degrees
Fractional positions:
Nd: 0.000 0.000 0.153
Nd: 0.000 0.000 0.847
Sn: 0.000 0.500 0.000
Sn: 0.000 0.500 0.329
Sn: 0.000 0.500 0.671
Sn: 0.500 0.000 0.000
Sn: 0.500 0.000 0.329
Sn: 0.500 0.000 0.671
Sn: 0.500 0.500 0.167
Sn: 0.500 0.500 0.500
Sn: 0.500 0.500 0.833
Pb: 0.000 0.000 0.500

Entry 11:
Theoretical XRD peak list of Nd7Sn2Pb2 for Cu Kα X-rays, from DFT lattice parameters and positions (GGA-PBE).
Lines closer than 0.1° are merged.

Largest 10 diffraction maxima, by angle, 10 to 90 degrees two-theta:
| 2θ/deg | I_rel |
| --- | --- |
| 19.40 | 16 |
| 23.22 | 45 |
| 25.03 | 18 |
| 27.28 | 34 |
| 30.61 | 50 |
| 33.24 | 17 |
| 35.06 | 100 |
| 38.77 | 22 |
| 39.90 | 30 |
| 49.53 | 16 |

Cell lengths 7.365, 7.365, 7.361 Å; angles 90.00, 90.00, 104.96 degrees
Fractional positions:
Nd: 0.000 0.000 0.000
Nd: 0.000 0.500 0.286
Nd: 0.000 0.500 0.714
Nd: 0.500 0.000 0.286
Nd: 0.500 0.000 0.714
Nd: 0.500 0.500 0.257
Nd: 0.500 0.500 0.743
Sn: 0.276 0.724 0.000
Sn: 0.724 0.276 0.000
Pb: 0.179 0.179 0.500
Pb: 0.821 0.821 0.500

Entry 12:
Theoretical XRD peak list of Nd6Sn2Pb for Cu Kα X-rays, from DFT lattice parameters and positions (GGA-PBE).
Lines closer than 0.1° are merged.

Largest 10 diffraction maxima, by angle, 10 to 90 degrees two-theta:
| 2θ/deg | I_rel |
| --- | --- |
| 28.78 | 93 |
| 31.19 | 100 |
| 31.45 | 36 |
| 35.79 | 56 |
| 37.58 | 37 |
| 40.74 | 27 |
| 52.36 | 17 |
| 55.34 | 33 |
| 57.27 | 44 |
| 65.49 | 15 |

Cell lengths 4.429, 8.691, 8.691 Å; angles 120.00, 90.00, 90.00 degrees
Fractional positions:
Nd: 0.000 0.000 0.000
Nd: 0.000 0.456 0.728
Nd: 0.000 0.728 0.456
Nd: 0.500 0.134 0.728
Nd: 0.500 0.322 0.322
Nd: 0.500 0.728 0.134
Sn: 0.000 0.061 0.395
Sn: 0.000 0.395 0.061
Pb: 0.500 0.728 0.728